This entry pairs a crystal structure of SnNF3 with its computed powder diffractogram. Radiation: a wavelength of 1.5418 Å. Structure: a cell relaxed with PBE.

Peak list (10 most intense, 10 to 90 degrees two-theta, in order of falling intensity)
Position (°2θ)  Rel. int.
14.55  100.0
32.32  57.0
41.51  52.7
19.13  49.4
17.16  46.8
28.70  41.3
53.95  25.7
25.58  24.4
53.18  18.3
50.85  16.7

Cell and atoms:
```
SnNF3
1.0
3.110 1.796 6.087
-3.110 1.796 6.087
0.000 -3.591 6.087
Sn N F
2 2 6
Cartesian
0.000 0.000 3.065
0.000 0.000 15.197
0.000 0.000 6.720
0.000 0.000 11.542
-2.572 0.019 7.998
-1.303 -2.218 10.264
1.270 -2.237 7.998
-1.270 2.237 10.264
1.303 2.218 7.998
2.572 -0.019 10.264
```


This entry pairs a crystal structure of KMg6Nb with its computed powder diffractogram. Radiation: a wavelength of 1.5418 Å. Structure: a cell relaxed with PBE.

Peak list (10 most intense, 10 to 90 degrees two-theta, in order of falling intensity)
Position (°2θ)  Rel. int.
36.38  100.0
15.72  34.3
31.75  27.1
23.46  26.6
35.02  25.1
68.28  18.0
63.71  17.9
56.56  16.4
47.99  16.4
46.14  14.4

Cell and atoms:
```
KMg6Nb
1.0
6.509 0.000 0.000
-3.254 5.637 0.000
0.000 0.000 5.124
K Mg Nb
1 6 1
Cartesian
0.000 0.000 0.000
-1.471 2.909 0.000
1.693 0.977 2.562
1.471 2.909 0.000
0.000 5.456 0.000
4.816 0.977 2.562
3.254 3.682 2.562
0.000 3.758 2.562
```


This entry pairs a crystal structure of MgZn3Cu2H14S2O18 with its computed powder diffractogram. Radiation: a wavelength of 1.5418 Å. Structure: a cell relaxed with PBE.

Peak list (10 most intense, 10 to 90 degrees two-theta, in order of falling intensity)
Position (°2θ)  Rel. int.
16.79  100.0
25.57  35.0
22.79  33.4
32.69  25.8
14.67  24.2
29.63  19.8
34.11  18.9
33.23  17.6
44.36  17.1
42.42  16.9

Cell and atoms:
```
MgZn3Cu2H14S2O18
1.0
6.038 0.000 0.000
0.031 6.529 0.000
0.197 1.089 10.548
Mg Zn Cu H S O
1 3 2 14 2 18
Cartesian
0.000 0.000 0.000
1.656 3.812 0.882
2.848 0.808 0.592
4.936 2.494 5.779
4.356 4.648 1.802
4.974 2.923 0.142
0.273 4.655 5.106
1.046 4.177 6.419
1.082 1.125 6.653
1.338 5.648 9.137
1.657 2.698 9.155
2.383 5.909 2.497
2.682 3.812 4.961
2.774 0.849 5.077
2.881 2.462 2.670
3.574 6.865 6.378
3.968 4.606 4.443
4.410 2.255 9.052
5.823 6.889 7.129
5.848 2.866 2.547
0.146 6.868 3.499
3.670 4.687 7.935
0.165 1.251 6.984
0.621 3.848 5.583
0.984 5.904 10.015
1.479 2.507 10.092
1.596 6.716 3.816
2.219 4.802 7.614
2.744 5.617 1.615
2.754 2.437 1.706
3.189 1.159 5.918
3.587 3.706 4.588
3.843 4.857 9.405
4.188 3.317 7.563
4.439 5.717 7.181
4.610 1.979 9.977
5.406 5.814 4.198
5.658 1.694 3.919
5.893 3.543 1.828
5.960 0.241 2.018
```


This entry pairs a crystal structure of CsTiAlO4 with its computed powder diffractogram. Radiation: a wavelength of 1.5418 Å. Structure: a cell relaxed with PBE.

Peak list (10 most intense, 10 to 90 degrees two-theta, in order of falling intensity)
Position (°2θ)  Rel. int.
26.25  100.0
25.23  36.6
30.57  26.1
30.72  18.9
17.55  15.9
49.26  12.5
28.13  12.0
51.96  10.3
39.34  9.6
42.13  9.0

Cell and atoms:
```
CsTiAlO4
1.0
-2.911 4.581 5.072
2.911 -4.581 5.072
2.911 4.581 -5.072
Cs Ti Al O
2 2 2 8
Cartesian
0.000 0.000 0.000
0.000 4.581 0.982
2.911 -1.826 2.202
2.911 1.825 2.202
2.911 2.858 -1.225
0.000 1.723 3.848
1.487 2.131 -2.025
4.335 2.131 -2.025
2.911 0.000 2.271
2.911 2.299 0.459
0.000 0.000 3.788
-1.424 2.450 3.047
1.424 2.450 3.047
0.000 2.282 5.531
```


This entry pairs a crystal structure of Ba2LaCl7 with its computed powder diffractogram. Radiation: a wavelength of 1.5418 Å. Structure: a cell relaxed with PBE.

Peak list (10 most intense, 10 to 90 degrees two-theta, in order of falling intensity)
Position (°2θ)  Rel. int.
30.43  100.0
22.00  94.3
22.24  90.1
38.32  63.2
21.01  58.4
21.76  48.7
38.46  47.6
32.51  46.5
37.27  45.3
39.47  38.4

Cell and atoms:
```
Ba2LaCl7
1.0
8.262 -4.084 0.000
8.262 4.084 0.000
-5.638 0.000 8.457
Ba La Cl
4 2 14
Cartesian
1.515 0.027 2.423
-1.303 -0.027 6.651
12.190 0.027 1.806
9.371 -0.027 6.034
6.853 0.094 2.114
4.034 -0.094 6.343
3.090 2.033 4.487
6.853 3.073 2.114
4.238 0.966 1.195
1.641 1.267 7.771
4.978 2.033 8.199
1.419 -0.966 5.424
6.427 1.267 4.914
4.460 -1.267 3.543
9.468 0.966 3.033
5.909 -2.033 0.258
9.246 -1.267 0.686
6.649 -0.966 7.262
4.034 -3.073 6.343
7.797 -2.033 3.970
```


This entry pairs a crystal structure of Ag8GeSe6 with its computed powder diffractogram. Radiation: a wavelength of 1.5418 Å. Structure: a cell relaxed with PBE.

Peak list (10 most intense, 10 to 90 degrees two-theta, in order of falling intensity)
Position (°2θ)  Rel. int.
27.45  100.0
46.13  67.6
34.46  59.9
27.90  55.8
42.00  52.7
35.26  41.5
45.08  34.2
40.41  32.9
24.07  32.9
34.98  32.6

Cell and atoms:
```
Ag8GeSe6
1.0
8.045 0.000 0.000
0.000 7.849 0.000
0.000 0.000 11.029
Ag Ge Se
16 2 12
Cartesian
0.000 0.924 1.262
0.000 1.763 7.456
1.594 0.281 9.803
1.610 5.142 0.000
1.677 4.726 3.237
2.346 3.123 8.752
2.413 2.707 5.515
2.429 7.568 4.288
4.022 6.086 1.941
4.022 6.925 6.777
5.616 7.568 4.288
5.632 2.707 5.515
5.699 3.123 8.752
6.368 4.726 3.237
6.435 5.142 0.000
6.451 0.281 9.803
0.000 5.883 7.038
4.022 1.966 1.523
0.000 2.437 10.042
0.000 3.960 5.586
0.000 6.153 1.762
0.000 7.775 5.589
2.000 5.887 8.361
2.022 1.962 2.846
4.022 0.074 0.075
4.022 1.696 7.277
4.022 3.889 0.072
4.022 5.412 4.527
6.023 1.962 2.846
6.045 5.887 8.361
```